For Ba2CaHIr, a structure optimized by DFT (PBE) gives the theoretical X-ray diffraction stick pattern in this record (Cu Kα).
Kinematic intensities with the Lorentz-polarization factor, no thermal factor.

Structure:
Lattice parameters (Å, degrees): 5.2818 5.2818 4.7665 90.00 90.00 90.00
Positions (direct):
Ba1 0.0000 0.5000 0.0000
Ba2 0.5000 0.0000 0.0000
Ca1 0.0000 0.0000 0.5000
H1 0.0000 0.0000 0.0000
Ir1 0.5000 0.5000 0.5000

Main lines, by angle (10° ≤ 2θ ≤ 80°):
5.282 Å, rel. 17; 3.539 Å, rel. 14; 2.940 Å, rel. 100; 2.641 Å, rel. 38; 2.383 Å, rel. 14; 1.867 Å, rel. 13; 1.769 Å, rel. 23; 1.576 Å, rel. 31; 1.470 Å, rel. 12; 1.462 Å, rel. 12

For Ba2CaH6Ir, a structure optimized by DFT (PBE) gives the theoretical X-ray diffraction stick pattern in this record (Cu Kα).
Kinematic intensities with the Lorentz-polarization factor, no thermal factor.

Structure:
Lattice parameters (Å, degrees): 5.7521 5.7521 6.2388 90.00 90.00 120.00
Positions (direct):
Ba1 0.3333 0.6667 0.3227
Ba2 0.6667 0.3333 0.6773
Ca1 0.0000 0.0000 0.0000
H1 0.1385 0.2770 0.6642
H2 0.1385 0.8615 0.6642
H3 0.2770 0.1385 0.3358
H4 0.7230 0.8615 0.6642
H5 0.8615 0.1385 0.3358
H6 0.8615 0.7230 0.3358
Ir1 0.0000 0.0000 0.5000

Main lines, by angle (10° ≤ 2θ ≤ 80°):
6.239 Å, rel. 63; 3.893 Å, rel. 88; 2.876 Å, rel. 100; 2.644 Å, rel. 84; 2.612 Å, rel. 43; 2.313 Å, rel. 23; 1.946 Å, rel. 35; 1.919 Å, rel. 20; 1.803 Å, rel. 21; 1.612 Å, rel. 38